(1)
Starting from a DFT-relaxed cell (PBE, Alexandria), the X-ray powder pattern of ZrAsRu2 was computed for Cu Kα (λ = 1.5418 Å).

Top 10 peaks for 10 to 80 degrees two-theta, in order of rising 2θ:
- 2θ = 33.37°, intensity 10
- 2θ = 36.78°, intensity 100
- 2θ = 40.89°, intensity 61
- 2θ = 44.34°, intensity 48
- 2θ = 46.90°, intensity 25
- 2θ = 50.50°, intensity 12
- 2θ = 58.63°, intensity 13
- 2θ = 66.51°, intensity 28
- 2θ = 73.95°, intensity 20
- 2θ = 78.24°, intensity 11

Atomic structure:
Cell lengths 3.149, 3.874, 5.370 Å; angles 90.00, 90.00, 90.00 degrees
Element x y z (fractional)
Zr1 0.000 0.000 0.000
As1 0.500 0.500 0.320
Ru1 0.000 0.000 0.482
Ru2 0.500 0.500 0.795



(2)
Starting from a DFT-relaxed cell (PBE, Alexandria), the X-ray powder pattern of AgBr2F8 was computed for Cu Kα (λ = 1.5418 Å).

Top 10 peaks for 10 to 80 degrees two-theta, in order of rising 2θ:
- 2θ = 23.40°, intensity 100
- 2θ = 30.34°, intensity 52
- 2θ = 38.67°, intensity 29
- 2θ = 44.23°, intensity 31
- 2θ = 49.92°, intensity 24
- 2θ = 51.34°, intensity 12
- 2θ = 53.90°, intensity 10
- 2θ = 60.81°, intensity 14
- 2θ = 63.11°, intensity 13
- 2θ = 63.73°, intensity 10

Atomic structure:
Cell lengths 5.892, 5.892, 5.696 Å; angles 90.00, 90.00, 120.00 degrees
Element x y z (fractional)
Ag1 0.000 0.000 0.000
Br1 0.333 0.667 0.460
Br2 0.667 0.333 0.540
F1 0.164 0.329 0.227
F2 0.164 0.836 0.227
F3 0.329 0.164 0.773
F4 0.333 0.667 0.778
F5 0.667 0.333 0.222
F6 0.671 0.836 0.227
F7 0.836 0.164 0.773
F8 0.836 0.671 0.773



(3)
Starting from a DFT-relaxed cell (PBE, Alexandria), the X-ray powder pattern of PdIF was computed for Cu Kα (λ = 1.5418 Å).

Top 10 peaks for 10 to 80 degrees two-theta, in order of rising 2θ:
- 2θ = 13.71°, intensity 100
- 2θ = 26.17°, intensity 32
- 2θ = 30.73°, intensity 88
- 2θ = 36.52°, intensity 39
- 2θ = 38.53°, intensity 97
- 2θ = 46.45°, intensity 29
- 2θ = 46.95°, intensity 31
- 2θ = 50.39°, intensity 16
- 2θ = 54.16°, intensity 25
- 2θ = 60.69°, intensity 14

Atomic structure:
Cell lengths 4.273, 4.669, 6.489 Å; angles 90.00, 95.53, 90.00 degrees
Element x y z (fractional)
Pd1 0.150 0.250 0.422
Pd2 0.850 0.750 0.578
I1 0.387 0.750 0.283
I2 0.613 0.250 0.717
F1 0.189 0.750 0.819
F2 0.811 0.250 0.181



(4)
Starting from a DFT-relaxed cell (PBE, Alexandria), the X-ray powder pattern of Pr2Sm2Mg3 was computed for Cu Kα (λ = 1.5418 Å).

Top 10 peaks for 10 to 80 degrees two-theta, in order of rising 2θ:
- 2θ = 10.13°, intensity 42
- 2θ = 13.65°, intensity 30
- 2θ = 28.65°, intensity 90
- 2θ = 29.08°, intensity 65
- 2θ = 29.72°, intensity 31
- 2θ = 30.75°, intensity 100
- 2θ = 31.54°, intensity 87
- 2θ = 32.13°, intensity 53
- 2θ = 34.78°, intensity 35
- 2θ = 41.80°, intensity 29

Atomic structure:
Cell lengths 3.643, 7.026, 9.315 Å; angles 70.83, 78.78, 74.99 degrees
Element x y z (fractional)
Pr1 0.129 0.055 0.186
Pr2 0.871 0.945 0.814
Sm1 0.383 0.271 0.461
Sm2 0.617 0.729 0.539
Mg1 0.166 0.375 0.792
Mg2 0.500 0.500 0.000
Mg3 0.834 0.625 0.208



(5)
Starting from a DFT-relaxed cell (PBE, Alexandria), the X-ray powder pattern of ReBi3O7 was computed for Cu Kα (λ = 1.5418 Å).

Top 10 peaks for 10 to 80 degrees two-theta, in order of rising 2θ:
- 2θ = 27.75°, intensity 100
- 2θ = 28.51°, intensity 98
- 2θ = 32.55°, intensity 51
- 2θ = 32.69°, intensity 28
- 2θ = 46.81°, intensity 54
- 2θ = 47.68°, intensity 16
- 2θ = 54.76°, intensity 22
- 2θ = 55.38°, intensity 15
- 2θ = 55.81°, intensity 17
- 2θ = 56.07°, intensity 31

Atomic structure:
Cell lengths 6.766, 6.766, 7.629 Å; angles 90.00, 90.00, 108.14 degrees
Element x y z (fractional)
Re1 0.003 0.003 0.000
Re2 0.997 0.997 0.500
Bi1 0.002 0.518 0.744
Bi2 0.451 0.451 0.500
Bi3 0.482 0.998 0.756
Bi4 0.518 0.002 0.256
Bi5 0.549 0.549 0.000
Bi6 0.998 0.482 0.244
O1 0.023 0.290 0.973
O2 0.030 0.970 0.750
O3 0.082 0.318 0.522
O4 0.290 0.023 0.027
O5 0.318 0.082 0.478
O6 0.364 0.636 0.750
O7 0.365 0.635 0.250
O8 0.635 0.365 0.750
O9 0.636 0.364 0.250
O10 0.682 0.918 0.978
O11 0.710 0.977 0.527
O12 0.918 0.682 0.022
O13 0.970 0.030 0.250
O14 0.977 0.710 0.473



(6)
Starting from a DFT-relaxed cell (PBE, Alexandria), the X-ray powder pattern of Ac2PmMnN4 was computed for Cu Kα (λ = 1.5418 Å).

Top 10 peaks for 10 to 80 degrees two-theta, in order of rising 2θ:
- 2θ = 14.12°, intensity 27
- 2θ = 24.91°, intensity 21
- 2θ = 25.07°, intensity 78
- 2θ = 26.50°, intensity 62
- 2θ = 28.45°, intensity 34
- 2θ = 28.75°, intensity 89
- 2θ = 34.49°, intensity 100
- 2θ = 44.08°, intensity 48
- 2θ = 55.88°, intensity 39
- 2θ = 56.69°, intensity 26

Atomic structure:
Cell lengths 6.977, 6.977, 12.548 Å; angles 90.00, 90.00, 149.19 degrees
Element x y z (fractional)
Ac1 0.126 0.874 0.542
Ac2 0.126 0.874 0.958
Ac3 0.874 0.126 0.042
Ac4 0.874 0.126 0.458
Pm1 0.347 0.653 0.750
Pm2 0.653 0.347 0.250
Mn1 0.312 0.688 0.250
Mn2 0.688 0.312 0.750
N1 0.147 0.853 0.750
N2 0.221 0.779 0.135
N3 0.221 0.779 0.365
N4 0.500 0.500 0.000
N5 0.500 0.500 0.500
N6 0.779 0.221 0.635
N7 0.779 0.221 0.865
N8 0.853 0.147 0.250